1.
This entry pairs a crystal structure of Ir6Os5Rh with its computed X-ray powder pattern. Radiation: Cu Kα, 1.54184 Å. Structure: a crystal structure in Alexandria, relaxed with GGA-PBE.

Main lines, in order of falling intensity (10° ≤ 2θ ≤ 90°):
h k l  2θ (°)  intensity
1 1 3  42.23  100
3 0 0  42.93  95
2 2 3  61.79  26
2 0 2  36.36  23
4 1 3  78.18  21
2 1 1  39.39  13
1 1 0  24.39  12
3 2 2  68.96  11
3 3 0  78.66  11
1 1 6  76.73  10

Structural model:
```
data_Ir6Os5Rh
_space_group_name_H-M_alt 'P 63/m c m'
_space_group_IT_number 193
_space_group_name_Hall '-P 6c 2'
_cell_length_a 7.2986
_cell_length_b 7.2986
_cell_length_c 7.9256
_cell_angle_alpha 90.00
_cell_angle_beta 90.00
_cell_angle_gamma 120.00
loop_
_atom_site_label
_atom_site_fract_x
_atom_site_fract_y
_atom_site_fract_z
Ir1 0.0000 0.3055 0.0867
Os1 0.0000 0.3704 0.7500
Os2 0.3333 0.6667 0.0000
Rh1 0.0000 0.0000 0.2500
```

***

2.
This entry pairs a crystal structure of TbPd4Pt5 with its computed X-ray powder pattern. Radiation: Cu Kα, 1.54184 Å. Structure: a crystal structure in Alexandria, relaxed with GGA-PBE.

Main lines, in order of falling intensity (10° ≤ 2θ ≤ 90°):
h k l  2θ (°)  intensity
3 2 1  43.06  100
0 4 0  38.49  34
0 0 2  38.28  23
2 0 1  29.05  20
3 6 1  72.78  18
2 2 1  34.90  16
3 4 3  82.03  16
0 2 0  18.97  14
3 0 3  69.15  12
3 4 1  55.43  9

Structural model:
```
data_TbPd4Pt5
_space_group_name_H-M_alt 'P m m n'
_space_group_IT_number 59
_cell_length_a 8.1316
_cell_length_b 9.3557
_cell_length_c 4.7100
_cell_angle_alpha 90.00
_cell_angle_beta 90.00
_cell_angle_gamma 90.00
loop_
_space_group_symop_operation_xyz
'x,y,z'
'-x,-y,-z'
'-x+1/2,-y+1/2,z'
'x+1/2,y+1/2,-z'
'x+1/2,-y,-z'
'-x+1/2,y,z'
'-x,y+1/2,-z'
'x,-y+1/2,z'
loop_
_atom_site_label
_atom_site_fract_x
_atom_site_fract_y
_atom_site_fract_z
Tb1 0.2500 0.2500 0.0587
Pd1 0.0550 0.7500 0.6097
Pd2 0.2500 0.5087 0.7420
Pt1 0.0790 0.5131 0.2483
Pt2 0.2500 0.7500 0.0934
```